Diffraction record for TiNbHO5. The XRD peak list is computed, not measured: it uses the GGA-PBE geometry in the Materials Project and copper Kα.
Intensities are scaled so that the largest is 100.

The 10 most intense peaks (2θ from 10° to 80°), by intensity:
2θ/deg	I (rel.)
17.06	100
10.45	92
23.89	75
31.39	53
34.58	39
28.22	35
27.10	32
47.64	23
20.98	19
56.28	17

Cell and atoms:
Lattice parameters (Å, degrees): 6.581 3.818 16.934 90.00 90.00 90.00
Atoms (fractional coordinates):
1 Ti 0.182 0.250 0.034
2 Ti 0.318 0.750 0.534
3 Ti 0.682 0.250 0.466
4 Ti 0.818 0.750 0.966
5 Nb 0.209 0.250 0.378
6 Nb 0.291 0.750 0.878
7 Nb 0.709 0.250 0.122
8 Nb 0.791 0.750 0.622
9 H 0.096 0.250 0.188
10 H 0.404 0.750 0.688
11 H 0.596 0.250 0.312
12 H 0.904 0.750 0.812
13 O 0.030 0.250 0.133
14 O 0.072 0.750 0.577
15 O 0.140 0.750 0.008
16 O 0.165 0.250 0.275
17 O 0.235 0.750 0.413
18 O 0.265 0.250 0.913
19 O 0.335 0.750 0.775
20 O 0.360 0.250 0.508
21 O 0.428 0.250 0.077
22 O 0.470 0.750 0.633
23 O 0.530 0.250 0.367
24 O 0.572 0.750 0.923
25 O 0.640 0.750 0.492
26 O 0.665 0.250 0.225
27 O 0.735 0.750 0.087
28 O 0.765 0.250 0.587
29 O 0.835 0.750 0.725
30 O 0.860 0.250 0.992
31 O 0.928 0.250 0.423
32 O 0.970 0.750 0.867

Diffraction record for Nb4H3S8. The XRD peak list is computed, not measured: it uses the GGA-PBE geometry in the Materials Project and copper Kα.
Intensities are scaled so that the largest is 100.

The 10 most intense peaks (2θ from 10° to 80°), by intensity:
2θ/deg	I (rel.)
13.08	100
36.77	64
45.78	38
30.75	24
54.68	17
33.54	14
56.48	13
31.47	11
67.71	10
74.00	9

Cell and atoms:
Lattice parameters (Å, degrees): 3.357 3.357 27.084 90.00 90.00 120.00
Atoms (fractional coordinates):
1 Nb 0.000 0.000 0.000
2 Nb 0.000 0.000 0.500
3 Nb 0.667 0.333 0.250
4 Nb 0.667 0.333 0.750
5 H 0.333 0.667 0.000
6 H 0.333 0.667 0.250
7 H 0.333 0.667 0.750
8 S 0.000 0.000 0.190
9 S 0.000 0.000 0.311
10 S 0.000 0.000 0.689
11 S 0.000 0.000 0.810
12 S 0.667 0.333 0.061
13 S 0.667 0.333 0.442
14 S 0.667 0.333 0.558
15 S 0.667 0.333 0.939

Diffraction record for NbH4Se2. The XRD peak list is computed, not measured: it uses the GGA-PBE geometry in the Materials Project and copper Kα.
Intensities are scaled so that the largest is 100.

The 10 most intense peaks (2θ from 10° to 80°), by intensity:
2θ/deg	I (rel.)
34.02	100
26.42	96
34.29	95
14.13	87
46.16	78
34.13	56
33.58	51
45.21	46
26.04	39
46.86	38

Cell and atoms:
Lattice parameters (Å, degrees): 3.934 3.934 12.537 90.80 90.80 59.06
Atoms (fractional coordinates):
1 Nb 0.165 0.165 0.241
2 Nb 0.835 0.835 0.759
3 H 0.169 0.665 0.880
4 H 0.335 0.335 0.122
5 H 0.335 0.831 0.120
6 H 0.500 0.500 0.000
7 H 0.500 0.500 0.500
8 H 0.665 0.169 0.880
9 H 0.665 0.665 0.878
10 H 0.831 0.335 0.120
11 Se 0.159 0.159 0.624
12 Se 0.165 0.165 0.884
13 Se 0.835 0.835 0.116
14 Se 0.841 0.841 0.376

Diffraction record for NbH4Se2. The XRD peak list is computed, not measured: it uses the GGA-PBE geometry in the Materials Project and copper Kα.
Intensities are scaled so that the largest is 100.

The 10 most intense peaks (2θ from 10° to 80°), by intensity:
2θ/deg	I (rel.)
12.87	100
14.91	61
23.64	55
23.44	51
14.61	50
18.24	48
35.17	33
25.91	27
36.33	23
46.19	21

Cell and atoms:
Lattice parameters (Å, degrees): 7.866 7.866 7.768 103.03 103.03 121.97
Atoms (fractional coordinates):
1 Nb 0.200 0.800 0.500
2 Nb 0.800 0.200 0.000
3 H 0.204 0.388 0.104
4 H 0.334 0.688 0.437
5 H 0.388 0.204 0.604
6 H 0.583 0.584 0.813
7 H 0.584 0.583 0.313
8 H 0.674 0.917 0.932
9 H 0.688 0.334 0.937
10 H 0.917 0.674 0.432
11 Se 0.104 0.346 0.894
12 Se 0.346 0.104 0.394
13 Se 0.352 0.921 0.840
14 Se 0.921 0.352 0.340

Diffraction record for NbHSe2. The XRD peak list is computed, not measured: it uses the GGA-PBE geometry in the Materials Project and copper Kα.
Intensities are scaled so that the largest is 100.

The 10 most intense peaks (2θ from 10° to 80°), by intensity:
2θ/deg	I (rel.)
36.97	100
30.56	35
13.50	31
46.50	31
54.32	28
67.53	16
41.31	9
70.45	9
74.23	7
56.09	7

Cell and atoms:
Lattice parameters (Å, degrees): 3.378 3.378 13.118 90.00 90.00 120.00
Atoms (fractional coordinates):
1 Nb 0.333 0.667 0.250
2 Nb 0.667 0.333 0.750
3 H 0.000 0.000 0.000
4 H 0.000 0.000 0.500
5 Se 0.333 0.667 0.616
6 Se 0.333 0.667 0.884
7 Se 0.667 0.333 0.116
8 Se 0.667 0.333 0.384